Starting from DFT lattice parameters and positions (PBE), the powder XRD pattern of Ba4Nb14O23 was computed for λ = 1.5418 Å (Cu Kα).
Peak positions follow from Bragg's law for the DFT cell and can differ from measured ones.

Structure:
Unit cell a=12.608 b=21.067 c=4.205 alpha=90.00 beta=90.00 gamma=90.00
Space group Cmmm (No. 65)
Asymmetric unit:
Ba 0.170 0.102 0.000 (multiplicity 8)
Nb 0.000 0.000 0.500 (multiplicity 2)
Nb 0.000 0.202 0.500 (multiplicity 4)
Nb 0.000 0.296 0.000 (multiplicity 4)
Nb 0.000 0.400 0.500 (multiplicity 4)
Nb 0.000 0.500 0.000 (multiplicity 2)
Nb 0.161 0.299 0.500 (multiplicity 8)
Nb 0.163 0.500 0.500 (multiplicity 4)
O 0.000 0.000 0.000 (multiplicity 2)
O 0.000 0.096 0.500 (multiplicity 4)
O 0.000 0.196 0.000 (multiplicity 4)
O 0.000 0.400 0.000 (multiplicity 4)
O 0.162 0.000 0.500 (multiplicity 4)
O 0.166 0.198 0.500 (multiplicity 8)
O 0.167 0.303 0.000 (multiplicity 8)
O 0.170 0.400 0.500 (multiplicity 8)
O 0.170 0.500 0.000 (multiplicity 4)

Most intense lines, 5° ≤ 2θ ≤ 70°, in order of rising 2θ:
| two_theta | d/Å | Rel. int. | index |
| --- | --- | --- | --- |
| 30.03 | 2.976 | 88 | 3 5 0 |
| 30.37 | 2.943 | 76 | 3 1 1 |
| 30.68 | 2.914 | 29 | 2 4 1 |
| 30.87 | 2.897 | 54 | 1 5 1 |
| 42.98 | 2.105 | 100 | 0 0 2 |
| 43.05 | 2.101 | 49 | 6 0 0 |
| 47.24 | 1.924 | 24 | 5 5 1 |
| 49.57 | 1.839 | 26 | 3 9 1 |
| 53.36 | 1.717 | 34 | 3 5 2 |
| 62.44 | 1.487 | 90 | 0 10 2 |